For Al2ZnTe2Se2, a cell relaxed with PBE gives the simulated X-ray diffraction stick pattern in this record (Cu Kα, 1.54184 Å).
Intensities are scaled so that the largest is 100.

Main lines, in order of rising 2θ (2θ from 15° to 90°):
Position (°2θ)	I (rel.)
26.4	100
26.7	43
26.8	44
43.7	19
43.8	36
44.2	18

Structural model:
a = 5.831 Å, b = 5.863 Å, c = 7.003 Å
α = 113.57°, β = 114.27°, γ = 90.04°
Fractional coordinates of all 7 atoms:
1 Al 0.000 0.000 0.000
2 Al 0.228 0.772 0.500
3 Zn 0.499 0.538 0.999
4 Te 0.397 0.388 0.273
5 Te 0.631 0.147 0.726
6 Se 0.107 0.641 0.742
7 Se 0.874 0.908 0.257